Diffraction record for NaSn6Pb. The powder X-ray diffraction pattern is simulated, not measured: it uses a structure optimized by DFT (PBE) and CuKα.

Largest 12 diffraction maxima, sorted by position, 2θ = 10–90°:
two_theta	I/Imax
21.33	20
28.13	13
31.40	8
32.43	100
32.55	48
40.10	28
43.42	8
43.46	16
52.48	26
57.86	26
67.92	21
68.18	25

Atomic structure:
abc: 6.376 6.376 6.345
angles: 90.04 90.04 119.98
Positions (direct):
Na1 0.000 0.000 0.000
Sn1 0.000 0.500 0.247
Sn2 0.000 0.500 0.753
Sn3 0.500 0.000 0.247
Sn4 0.500 0.000 0.753
Sn5 0.500 0.500 0.247
Sn6 0.500 0.500 0.753
Pb1 0.000 0.000 0.500



Diffraction record for RbInBr. The powder X-ray diffraction pattern is simulated, not measured: it uses a structure optimized by DFT (PBE) and CuKα.

Largest 12 diffraction maxima, sorted by position, 2θ = 10–90°:
two_theta	I/Imax
22.96	23
23.71	21
24.20	18
29.15	29
30.14	100
35.86	17
41.09	15
43.29	12
47.98	12
53.04	10
55.66	9
67.05	17

Atomic structure:
abc: 15.024 4.401 4.401
angles: 56.70 90.00 90.00
Positions (direct):
Rb1 0.153 0.000 0.000
Rb2 0.847 0.000 0.000
In1 0.350 0.327 0.327
In2 0.650 0.327 0.327
Br1 0.000 0.321 0.321
Br2 0.500 0.838 0.838